(1)
The following is a computed X-ray powder pattern of Ti4PdRh3. It was derived from DFT lattice parameters and positions (PBE), using Cu Kα.

Top 6 peaks for 10 to 90 degrees two-theta, in order of rising 2θ:
| Position (°2θ) | Rel. int. |
| --- | --- |
| 27.6 | 21.8 |
| 38.8 | 21.9 |
| 40.1 | 42.0 |
| 41.8 | 100.0 |
| 57.0 | 13.6 |
| 74.0 | 17.1 |

Structural model:
```
data_Ti4PdRh3
_chemical_formula_sum 'Ti8 Pd2 Rh6'
_symmetry_space_group_name_H-M 'P m m a'
_symmetry_Int_Tables_number 51
_symmetry_space_group_name_Hall '-P 2a 2a'
_cell_length_a 9.006
_cell_length_b 5.811
_cell_length_c 4.642
_cell_angle_alpha 90.00
_cell_angle_beta 90.00
_cell_angle_gamma 90.00
loop_
_atom_site_label
_atom_site_type_symbol
_atom_site_fract_x
_atom_site_fract_y
_atom_site_fract_z
Ti1 Ti 0.000 0.246 0.000
Ti2 Ti 0.250 0.246 0.433
Pd1 Pd 0.000 0.500 0.500
Rh1 Rh 0.000 0.000 0.500
Rh2 Rh 0.250 0.000 0.918
Rh3 Rh 0.250 0.500 0.925
```

=====

(2)
The following is a computed X-ray powder pattern of Ti6PdRh3. It was derived from DFT lattice parameters and positions (PBE), using Cu Kα.

Top 6 peaks for 10 to 90 degrees two-theta, in order of rising 2θ:
| Position (°2θ) | Rel. int. |
| --- | --- |
| 30.1 | 59.4 |
| 30.3 | 54.2 |
| 37.9 | 39.9 |
| 40.0 | 27.0 |
| 40.1 | 35.3 |
| 47.0 | 100.0 |

Structural model:
```
data_Ti6PdRh3
_chemical_formula_sum 'Ti12 Pd2 Rh6'
_symmetry_space_group_name_H-M 'P 1 21/c 1'
_symmetry_Int_Tables_number 14
_symmetry_space_group_name_Hall '-P 2ybc'
_cell_length_a 7.168
_cell_length_b 6.011
_cell_length_c 10.495
_cell_angle_alpha 90.00
_cell_angle_beta 132.54
_cell_angle_gamma 90.00
loop_
_atom_site_label
_atom_site_type_symbol
_atom_site_fract_x
_atom_site_fract_y
_atom_site_fract_z
Ti1 Ti 0.043 0.158 0.248
Ti2 Ti 0.242 0.147 0.068
Ti3 Ti 0.378 0.621 0.051
Pd1 Pd 0.500 0.000 0.000
Rh1 Rh 0.000 0.000 0.500
Rh2 Rh 0.273 0.661 0.734
```

=====

(3)
The following is a computed X-ray powder pattern of Ti2PdRh4. It was derived from DFT lattice parameters and positions (PBE), using Cu Kα.

Top 6 peaks for 10 to 90 degrees two-theta, in order of rising 2θ:
| Position (°2θ) | Rel. int. |
| --- | --- |
| 39.7 | 52.8 |
| 40.2 | 100.0 |
| 40.3 | 49.6 |
| 45.8 | 34.0 |
| 46.7 | 33.5 |
| 47.4 | 30.4 |

Structural model:
```
data_Ti2PdRh4
_chemical_formula_sum 'Ti2 Pd1 Rh4'
_symmetry_space_group_name_H-M 'P -1'
_symmetry_Int_Tables_number 2
_symmetry_space_group_name_Hall '-P 1'
_cell_length_a 4.727
_cell_length_b 4.758
_cell_length_c 4.811
_cell_angle_alpha 98.17
_cell_angle_beta 100.31
_cell_angle_gamma 99.00
loop_
_atom_site_label
_atom_site_type_symbol
_atom_site_fract_x
_atom_site_fract_y
_atom_site_fract_z
Ti1 Ti 0.181 0.087 0.301
Pd1 Pd 0.000 0.500 0.000
Rh1 Rh 0.279 0.658 0.577
Rh2 Rh 0.418 0.215 0.860
```

=====

(4)
The following is a computed X-ray powder pattern of Tm2Pd2Rh. It was derived from DFT lattice parameters and positions (PBE), using Cu Kα.

Top 6 peaks for 10 to 90 degrees two-theta, in order of rising 2θ:
| Position (°2θ) | Rel. int. |
| --- | --- |
| 31.9 | 59.1 |
| 34.1 | 47.5 |
| 37.2 | 100.0 |
| 42.3 | 40.5 |
| 43.6 | 66.2 |
| 44.4 | 58.9 |

Structural model:
```
data_Tm2Pd2Rh
_chemical_formula_sum 'Tm8 Pd8 Rh4'
_symmetry_space_group_name_H-M 'I b a m'
_symmetry_Int_Tables_number 72
_symmetry_space_group_name_Hall '-I 2 2c'
_cell_length_a 6.153
_cell_length_b 11.888
_cell_length_c 5.619
_cell_angle_alpha 90.00
_cell_angle_beta 90.00
_cell_angle_gamma 90.00
loop_
_atom_site_label
_atom_site_type_symbol
_atom_site_fract_x
_atom_site_fract_y
_atom_site_fract_z
Tm1 Tm 0.220 0.160 0.000
Pd1 Pd 0.162 0.399 0.000
Rh1 Rh 0.000 0.000 0.250
```

=====

(5)
The following is a computed X-ray powder pattern of Tm3Pd2Rh. It was derived from DFT lattice parameters and positions (PBE), using Cu Kα.

Top 6 peaks for 10 to 90 degrees two-theta, in order of rising 2θ:
| Position (°2θ) | Rel. int. |
| --- | --- |
| 37.0 | 50.6 |
| 37.1 | 100.0 |
| 53.3 | 17.6 |
| 66.7 | 35.6 |
| 66.9 | 17.5 |
| 79.0 | 10.9 |

Structural model:
```
data_Tm3Pd2Rh
_chemical_formula_sum 'Tm12 Pd8 Rh4'
_symmetry_space_group_name_H-M 'C m m m'
_symmetry_Int_Tables_number 65
_symmetry_space_group_name_Hall '-C 2 2'
_cell_length_a 4.867
_cell_length_b 14.588
_cell_length_c 6.832
_cell_angle_alpha 90.00
_cell_angle_beta 90.00
_cell_angle_gamma 90.00
loop_
_atom_site_label
_atom_site_type_symbol
_atom_site_fract_x
_atom_site_fract_y
_atom_site_fract_z
Tm1 Tm 0.000 0.000 0.246
Tm2 Tm 0.000 0.331 0.244
Pd1 Pd 0.000 0.166 0.500
Pd2 Pd 0.000 0.500 0.000
Pd3 Pd 0.000 0.500 0.500
Rh1 Rh 0.000 0.166 0.000
```

=====

(6)
The following is a computed X-ray powder pattern of Tm5Pd2Rh2. It was derived from DFT lattice parameters and positions (PBE), using Cu Kα.

Top 6 peaks for 10 to 90 degrees two-theta, in order of rising 2θ:
| Position (°2θ) | Rel. int. |
| --- | --- |
| 32.7 | 100.0 |
| 34.3 | 45.7 |
| 34.6 | 48.5 |
| 36.7 | 90.5 |
| 38.9 | 59.0 |
| 39.1 | 59.8 |

Structural model:
```
data_Tm5Pd2Rh2
_chemical_formula_sum 'Tm20 Pd8 Rh8'
_symmetry_space_group_name_H-M 'C m c e'
_symmetry_Int_Tables_number 64
_symmetry_space_group_name_Hall '-C 2ac 2'
_cell_length_a 14.608
_cell_length_b 7.369
_cell_length_c 7.417
_cell_angle_alpha 90.00
_cell_angle_beta 90.00
_cell_angle_gamma 90.00
loop_
_atom_site_label
_atom_site_type_symbol
_atom_site_fract_x
_atom_site_fract_y
_atom_site_fract_z
Tm1 Tm 0.000 0.000 0.000
Tm2 Tm 0.134 0.172 0.332
Pd1 Pd 0.206 0.000 0.000
Rh1 Rh 0.000 0.134 0.633
```

=====

(7)
The following is a computed X-ray powder pattern of Tm4Pd5Rh. It was derived from DFT lattice parameters and positions (PBE), using Cu Kα.

Top 6 peaks for 10 to 90 degrees two-theta, in order of rising 2θ:
| Position (°2θ) | Rel. int. |
| --- | --- |
| 37.3 | 100.0 |
| 38.6 | 25.8 |
| 39.0 | 18.0 |
| 51.4 | 12.2 |
| 56.0 | 12.6 |
| 68.9 | 16.3 |

Structural model:
```
data_Tm4Pd5Rh
_chemical_formula_sum 'Tm8 Pd10 Rh2'
_symmetry_space_group_name_H-M 'C 1 2/m 1'
_symmetry_Int_Tables_number 12
_symmetry_space_group_name_Hall '-C 2y'
_cell_length_a 14.947
_cell_length_b 4.669
_cell_length_c 5.831
_cell_angle_alpha 90.00
_cell_angle_beta 109.62
_cell_angle_gamma 90.00
loop_
_atom_site_label
_atom_site_type_symbol
_atom_site_fract_x
_atom_site_fract_y
_atom_site_fract_z
Tm1 Tm 0.083 0.000 0.332
Tm2 Tm 0.191 0.500 0.779
Pd1 Pd 0.000 0.500 0.000
Pd2 Pd 0.113 0.000 0.877
Pd3 Pd 0.205 0.500 0.295
Rh1 Rh 0.000 0.500 0.500
```

=====

(8)
The following is a computed X-ray powder pattern of Tm5Pd4Rh. It was derived from DFT lattice parameters and positions (PBE), using Cu Kα.

Top 6 peaks for 10 to 90 degrees two-theta, in order of rising 2θ:
| Position (°2θ) | Rel. int. |
| --- | --- |
| 36.7 | 100.0 |
| 37.3 | 48.3 |
| 53.8 | 16.8 |
| 65.8 | 17.6 |
| 66.9 | 34.4 |
| 78.1 | 10.8 |

Structural model:
```
data_Tm5Pd4Rh
_chemical_formula_sum 'Tm5 Pd4 Rh1'
_symmetry_space_group_name_H-M 'P 4/m m m'
_symmetry_Int_Tables_number 123
_symmetry_space_group_name_Hall '-P 4 2'
_cell_length_a 3.410
_cell_length_b 3.410
_cell_length_c 17.571
_cell_angle_alpha 90.00
_cell_angle_beta 90.00
_cell_angle_gamma 90.00
loop_
_atom_site_label
_atom_site_type_symbol
_atom_site_fract_x
_atom_site_fract_y
_atom_site_fract_z
Tm1 Tm 0.000 0.000 0.000
Tm2 Tm 0.000 0.000 0.202
Tm3 Tm 0.000 0.000 0.405
Pd1 Pd 0.500 0.500 0.101
Pd2 Pd 0.500 0.500 0.302
Rh1 Rh 0.500 0.500 0.500
```

=====

(9)
The following is a computed X-ray powder pattern of V4Pd5Rh4. It was derived from DFT lattice parameters and positions (PBE), using Cu Kα.

Top 6 peaks for 10 to 90 degrees two-theta, in order of rising 2θ:
| Position (°2θ) | Rel. int. |
| --- | --- |
| 40.4 | 100.0 |
| 46.5 | 17.5 |
| 47.3 | 29.1 |
| 68.5 | 19.1 |
| 82.1 | 11.9 |
| 83.2 | 17.4 |

Structural model:
```
data_V4Pd5Rh4
_chemical_formula_sum 'V8 Pd10 Rh8'
_symmetry_space_group_name_H-M 'I 4/m'
_symmetry_Int_Tables_number 87
_symmetry_space_group_name_Hall '-I 4'
_cell_length_a 9.809
_cell_length_b 9.809
_cell_length_c 3.905
_cell_angle_alpha 90.00
_cell_angle_beta 90.00
_cell_angle_gamma 90.00
loop_
_atom_site_label
_atom_site_type_symbol
_atom_site_fract_x
_atom_site_fract_y
_atom_site_fract_z
V1 V 0.139 0.756 0.000
Pd1 Pd 0.000 0.000 0.000
Pd2 Pd 0.051 0.191 0.500
Rh1 Rh 0.096 0.376 0.000
```

=====

(10)
The following is a computed X-ray powder pattern of V2PdRh4. It was derived from DFT lattice parameters and positions (PBE), using Cu Kα.

Top 6 peaks for 10 to 90 degrees two-theta, in order of rising 2θ:
| Position (°2θ) | Rel. int. |
| --- | --- |
| 39.2 | 100.0 |
| 42.6 | 41.4 |
| 42.9 | 47.6 |
| 46.4 | 21.3 |
| 64.0 | 17.1 |
| 80.0 | 19.2 |

Structural model:
```
data_V2PdRh4
_chemical_formula_sum 'V4 Pd2 Rh8'
_symmetry_space_group_name_H-M 'P b a m'
_symmetry_Int_Tables_number 55
_symmetry_space_group_name_Hall '-P 2 2ab'
_cell_length_a 4.861
_cell_length_b 9.894
_cell_length_c 4.245
_cell_angle_alpha 90.00
_cell_angle_beta 90.00
_cell_angle_gamma 90.00
loop_
_atom_site_label
_atom_site_type_symbol
_atom_site_fract_x
_atom_site_fract_y
_atom_site_fract_z
V1 V 0.197 0.076 0.000
Pd1 Pd 0.000 0.500 0.500
Rh1 Rh 0.014 0.175 0.500
Rh2 Rh 0.159 0.336 0.000
```

=====

(11)
The following is a computed X-ray powder pattern of V2Pd3Rh3. It was derived from DFT lattice parameters and positions (PBE), using Cu Kα.

Top 6 peaks for 10 to 90 degrees two-theta, in order of rising 2θ:
| Position (°2θ) | Rel. int. |
| --- | --- |
| 40.6 | 100.0 |
| 46.4 | 16.9 |
| 47.2 | 16.0 |
| 48.1 | 15.1 |
| 82.0 | 12.2 |
| 83.2 | 11.8 |

Structural model:
```
data_V2Pd3Rh3
_chemical_formula_sum 'V2 Pd3 Rh3'
_symmetry_space_group_name_H-M 'P m m m'
_symmetry_Int_Tables_number 47
_symmetry_space_group_name_Hall '-P 2 2'
_cell_length_a 3.850
_cell_length_b 3.916
_cell_length_c 7.570
_cell_angle_alpha 90.00
_cell_angle_beta 90.00
_cell_angle_gamma 90.00
loop_
_atom_site_label
_atom_site_type_symbol
_atom_site_fract_x
_atom_site_fract_y
_atom_site_fract_z
V1 V 0.000 0.000 0.244
Pd1 Pd 0.000 0.500 0.500
Pd2 Pd 0.500 0.500 0.248
Rh1 Rh 0.000 0.500 0.000
Rh2 Rh 0.500 0.000 0.000
Rh3 Rh 0.500 0.000 0.500
```

=====

(12)
The following is a computed X-ray powder pattern of V4PdRh2. It was derived from DFT lattice parameters and positions (PBE), using Cu Kα.

Top 6 peaks for 10 to 90 degrees two-theta, in order of rising 2θ:
| Position (°2θ) | Rel. int. |
| --- | --- |
| 14.3 | 60.3 |
| 27.7 | 93.8 |
| 39.6 | 93.5 |
| 41.6 | 100.0 |
| 57.2 | 30.1 |
| 58.7 | 69.3 |

Structural model:
```
data_V4PdRh2
_chemical_formula_sum 'V8 Pd2 Rh4'
_symmetry_space_group_name_H-M 'I 4/m m m'
_symmetry_Int_Tables_number 139
_symmetry_space_group_name_Hall '-I 4 2'
_cell_length_a 4.553
_cell_length_b 4.553
_cell_length_c 12.363
_cell_angle_alpha 90.00
_cell_angle_beta 90.00
_cell_angle_gamma 90.00
loop_
_atom_site_label
_atom_site_type_symbol
_atom_site_fract_x
_atom_site_fract_y
_atom_site_fract_z
V1 V 0.000 0.000 0.202
V2 V 0.000 0.500 0.000
Pd1 Pd 0.000 0.000 0.000
Rh1 Rh 0.000 0.000 0.389
```

=====

(13)
The following is a computed X-ray powder pattern of V3PdRh4. It was derived from DFT lattice parameters and positions (PBE), using Cu Kα.

Top 6 peaks for 10 to 90 degrees two-theta, in order of rising 2θ:
| Position (°2θ) | Rel. int. |
| --- | --- |
| 39.4 | 28.8 |
| 40.1 | 18.0 |
| 41.6 | 44.1 |
| 43.5 | 100.0 |
| 44.2 | 35.9 |
| 84.4 | 20.4 |

Structural model:
```
data_V3PdRh4
_chemical_formula_sum 'V6 Pd2 Rh8'
_symmetry_space_group_name_H-M 'P m m a'
_symmetry_Int_Tables_number 51
_symmetry_space_group_name_Hall '-P 2a 2a'
_cell_length_a 8.692
_cell_length_b 5.509
_cell_length_c 4.653
_cell_angle_alpha 90.00
_cell_angle_beta 90.00
_cell_angle_gamma 90.00
loop_
_atom_site_label
_atom_site_type_symbol
_atom_site_fract_x
_atom_site_fract_y
_atom_site_fract_z
V1 V 0.000 0.000 0.000
V2 V 0.250 0.000 0.346
V3 V 0.250 0.500 0.338
Pd1 Pd 0.000 0.500 0.000
Rh1 Rh 0.000 0.244 0.500
Rh2 Rh 0.250 0.251 0.850
```